Entry 1:
The following is a theoretical X-ray powder pattern of PuPaS2O. It was derived from the GGA-PBE geometry in Alexandria, using Cu Ka.
No peak broadening, texture or thermal motion is included.

Atomic structure:
```
PuPaS2O
1.0
3.8528 0.0000 0.0000
0.0000 3.8528 0.0000
0.0000 0.0000 13.3271
Pu Pa S O
2 2 4 2
Direct
0.2500 0.2500 0.0946 Pu
0.7500 0.7500 0.9054 Pu
0.2500 0.2500 0.6042 Pa
0.7500 0.7500 0.3958 Pa
0.2500 0.2500 0.3895 S
0.2500 0.2500 0.8036 S
0.7500 0.7500 0.1964 S
0.7500 0.7500 0.6105 S
0.2500 0.7500 0.0000 O
0.7500 0.2500 0.0000 O
```

Most intense lines, 2θ from 15° to 90°, sorted by position:
2θ 26.73, I 100; 2θ 32.88, I 43; 2θ 35.62, I 27; 2θ 42.88, I 26; 2θ 47.20, I 26; 2θ 55.06, I 35

---

Entry 2:
The following is a theoretical X-ray powder pattern of TiReMo2W. It was derived from the GGA-PBE geometry in Alexandria, using Cu Ka.
No peak broadening, texture or thermal motion is included.

Atomic structure:
```
TiReMo2W
1.0
5.2205 0.0000 0.0000
0.0000 4.4920 0.0000
-1.4576 0.0000 6.6801
Ti Re Mo W
2 2 4 2
Direct
0.1498 0.2500 0.0501 Ti
0.8502 0.7500 0.9499 Ti
0.0525 0.7500 0.3479 Re
0.9475 0.2500 0.6521 Re
0.2510 0.7500 0.7499 Mo
0.3496 0.2500 0.4500 Mo
0.6504 0.7500 0.5500 Mo
0.7490 0.2500 0.2501 Mo
0.4485 0.7500 0.1523 W
0.5515 0.2500 0.8477 W
```

Most intense lines, 2θ from 15° to 90°, sorted by position:
2θ 40.15, I 51; 2θ 40.41, I 100; 2θ 40.61, I 49; 2θ 40.61, I 99; 2θ 58.43, I 33; 2θ 73.63, I 42

---

Entry 3:
The following is a theoretical X-ray powder pattern of AcSmH2. It was derived from the GGA-PBE geometry in Alexandria, using Cu Ka.
No peak broadening, texture or thermal motion is included.

Atomic structure:
```
AcSmH2
1.0
3.7598 0.0000 0.0000
-1.8799 3.2561 0.0000
0.0000 0.0000 18.2907
Ac Sm H
3 3 6
Direct
0.0000 0.0000 0.0000 Ac
0.3333 0.6667 0.6667 Ac
0.6667 0.3333 0.3333 Ac
0.0000 0.0000 0.5000 Sm
0.3333 0.6667 0.1667 Sm
0.6667 0.3333 0.8333 Sm
0.0000 0.0000 0.2360 H
0.0000 0.0000 0.7640 H
0.3333 0.6667 0.4307 H
0.3333 0.6667 0.9027 H
0.6667 0.3333 0.0973 H
0.6667 0.3333 0.5693 H
```

Most intense lines, 2θ from 15° to 90°, sorted by position:
2θ 29.11, I 100; 2θ 29.30, I 33; 2θ 33.79, I 70; 2θ 48.42, I 26; 2θ 48.66, I 25; 2θ 57.60, I 30

---

Entry 4:
The following is a theoretical X-ray powder pattern of PaAs12Ir4. It was derived from the GGA-PBE geometry in Alexandria, using Cu Ka.
No peak broadening, texture or thermal motion is included.

Atomic structure:
```
PaAs12Ir4
1.0
-4.3435 4.3435 4.3435
4.3435 -4.3435 4.3435
4.3435 4.3435 -4.3435
Pa As Ir
1 12 4
Direct
0.0000 0.0000 0.0000 Pa
0.1421 0.3384 0.4805 As
0.1421 0.6616 0.8037 As
0.1963 0.8579 0.3384 As
0.3384 0.1963 0.8579 As
0.3384 0.4805 0.1421 As
0.4805 0.1421 0.3384 As
0.5195 0.8579 0.6616 As
0.6616 0.5195 0.8579 As
0.6616 0.8037 0.1421 As
0.8037 0.1421 0.6616 As
0.8579 0.3384 0.1963 As
0.8579 0.6616 0.5195 As
0.0000 0.0000 0.5000 Ir
0.0000 0.5000 0.0000 Ir
0.5000 0.0000 0.0000 Ir
0.5000 0.5000 0.5000 Ir
```

Most intense lines, 2θ from 15° to 90°, sorted by position:
2θ 29.07, I 100; 2θ 32.60, I 89; 2θ 38.79, I 55; 2θ 46.77, I 53; 2θ 51.54, I 89; 2θ 53.81, I 34

---

Entry 5:
The following is a theoretical X-ray powder pattern of Ce6TcRu. It was derived from the GGA-PBE geometry in Alexandria, using Cu Ka.
No peak broadening, texture or thermal motion is included.

Atomic structure:
```
Ce6TcRu
1.0
4.5385 0.0000 0.0000
0.0000 6.3286 0.0000
0.0000 0.0000 14.0024
Ce Tc Ru
12 2 2
Direct
0.0000 0.2213 0.1902 Ce
0.0000 0.2213 0.8098 Ce
0.0000 0.2448 0.5000 Ce
0.0000 0.7552 0.5000 Ce
0.0000 0.7787 0.1902 Ce
0.0000 0.7787 0.8098 Ce
0.5000 0.2552 0.0000 Ce
0.5000 0.2787 0.3098 Ce
0.5000 0.2787 0.6902 Ce
0.5000 0.7213 0.3098 Ce
0.5000 0.7213 0.6902 Ce
0.5000 0.7448 0.0000 Ce
0.0000 0.0000 0.0000 Tc
0.5000 0.5000 0.5000 Tc
0.0000 0.5000 0.0000 Ru
0.5000 0.0000 0.5000 Ru
```

Most intense lines, 2θ from 15° to 90°, sorted by position:
2θ 25.44, I 19; 2θ 27.41, I 39; 2θ 28.20, I 19; 2θ 39.73, I 100; 2θ 58.25, I 20; 2θ 72.11, I 17

---

Entry 6:
The following is a theoretical X-ray powder pattern of SbTe4Pd. It was derived from the GGA-PBE geometry in Alexandria, using Cu Ka.
No peak broadening, texture or thermal motion is included.

Atomic structure:
```
SbTe4Pd
1.0
5.4570 0.0000 0.0000
0.0000 4.2244 0.0000
-0.0500 0.0000 7.4086
Sb Te Pd
1 4 1
Direct
0.0000 0.0000 0.0000 Sb
0.2737 0.0000 0.3607 Te
0.2987 0.5000 0.8015 Te
0.7013 0.5000 0.1985 Te
0.7263 0.0000 0.6393 Te
0.0000 0.5000 0.5000 Pd
```

Most intense lines, 2θ from 15° to 90°, sorted by position:
2θ 29.27, I 100; 2θ 40.95, I 10; 2θ 41.30, I 22; 2θ 42.40, I 22; 2θ 42.81, I 13; 2θ 52.68, I 12

---

Entry 7:
The following is a theoretical X-ray powder pattern of Dy3Sb2S. It was derived from the GGA-PBE geometry in Alexandria, using Cu Ka.
No peak broadening, texture or thermal motion is included.

Atomic structure:
```
Dy3Sb2S
1.0
4.2591 0.0000 0.0000
0.0000 4.2591 0.0000
0.0000 0.0000 17.8756
Dy Sb S
6 4 2
Direct
0.0000 0.0000 0.0000 Dy
0.0000 0.0000 0.3443 Dy
0.0000 0.0000 0.6557 Dy
0.5000 0.5000 0.1557 Dy
0.5000 0.5000 0.5000 Dy
0.5000 0.5000 0.8443 Dy
0.0000 0.0000 0.1687 Sb
0.0000 0.0000 0.8313 Sb
0.5000 0.5000 0.3313 Sb
0.5000 0.5000 0.6687 Sb
0.0000 0.0000 0.5000 S
0.5000 0.5000 0.0000 S
```

Most intense lines, 2θ from 15° to 90°, sorted by position:
2θ 29.66, I 100; 2θ 29.99, I 45; 2θ 42.45, I 38; 2θ 42.69, I 69; 2θ 52.84, I 37; 2θ 77.83, I 23

---

Entry 8:
The following is a theoretical X-ray powder pattern of DyTm4Tl. It was derived from the GGA-PBE geometry in Alexandria, using Cu Ka.
No peak broadening, texture or thermal motion is included.

Atomic structure:
```
DyTm4Tl
1.0
3.5417 0.0000 0.0000
0.0000 3.5417 0.0000
0.0000 0.0000 14.0242
Dy Tm Tl
1 4 1
Direct
0.0000 0.0000 0.0000 Dy
0.0000 0.0000 0.3493 Tm
0.0000 0.0000 0.6507 Tm
0.5000 0.5000 0.1764 Tm
0.5000 0.5000 0.8236 Tm
0.5000 0.5000 0.5000 Tl
```

Most intense lines, 2θ from 15° to 90°, sorted by position:
2θ 31.70, I 100; 2θ 35.86, I 38; 2θ 38.52, I 13; 2θ 51.61, I 13; 2θ 53.64, I 20; 2θ 61.85, I 30

---

Entry 9:
The following is a theoretical X-ray powder pattern of Ba4Np3HgO12. It was derived from the GGA-PBE geometry in Alexandria, using Cu Ka.
No peak broadening, texture or thermal motion is included.

Atomic structure:
```
Ba4Np3HgO12
1.0
-4.4346 4.4346 4.4346
4.4346 -4.4346 4.4346
4.4346 4.4346 -4.4346
Ba Np Hg O
4 3 1 12
Direct
0.0000 0.0000 0.5000 Ba
0.0000 0.5000 0.0000 Ba
0.5000 0.0000 0.0000 Ba
0.5000 0.5000 0.5000 Ba
0.0000 0.5000 0.5000 Np
0.5000 0.0000 0.5000 Np
0.5000 0.5000 0.0000 Np
0.0000 0.0000 0.0000 Hg
0.0000 0.2720 0.2720 O
0.0000 0.7280 0.7280 O
0.2500 0.5000 0.7500 O
0.2500 0.7500 0.5000 O
0.2720 0.0000 0.2720 O
0.2720 0.2720 0.0000 O
0.5000 0.2500 0.7500 O
0.5000 0.7500 0.2500 O
0.7280 0.0000 0.7280 O
0.7280 0.7280 0.0000 O
0.7500 0.2500 0.5000 O
0.7500 0.5000 0.2500 O
```

Most intense lines, 2θ from 15° to 90°, sorted by position:
2θ 28.46, I 100; 2θ 40.69, I 27; 2θ 50.41, I 42; 2θ 58.90, I 18; 2θ 66.70, I 19; 2θ 81.15, I 23

---

Entry 10:
The following is a theoretical X-ray powder pattern of Sr3Hg5. It was derived from the GGA-PBE geometry in Alexandria, using Cu Ka.
No peak broadening, texture or thermal motion is included.

Atomic structure:
```
Sr3Hg5
1.0
3.3219 -8.7889 0.0000
3.3219 8.7889 0.0000
-2.4926 0.0000 8.4605
Sr Hg
6 10
Direct
0.1608 0.8392 0.0000 Sr
0.2130 0.2130 0.6973 Sr
0.2212 0.7788 0.5000 Sr
0.7788 0.2212 0.5000 Sr
0.7870 0.7870 0.3027 Sr
0.8392 0.1608 0.0000 Sr
0.1875 0.3776 0.3752 Hg
0.2486 0.5933 0.8135 Hg
0.2846 0.2846 0.0766 Hg
0.3776 0.1875 0.3752 Hg
0.4067 0.7514 0.1865 Hg
0.5933 0.2486 0.8135 Hg
0.6224 0.8125 0.6248 Hg
0.7154 0.7154 0.9234 Hg
0.7514 0.4067 0.1865 Hg
0.8125 0.6224 0.6248 Hg
```

Most intense lines, 2θ from 15° to 90°, sorted by position:
2θ 29.49, I 38; 2θ 29.82, I 41; 2θ 31.26, I 38; 2θ 32.35, I 100; 2θ 33.59, I 40; 2θ 33.93, I 25

---

Entry 11:
The following is a theoretical X-ray powder pattern of LiIrCl5. It was derived from the GGA-PBE geometry in Alexandria, using Cu Ka.
No peak broadening, texture or thermal motion is included.

Atomic structure:
```
LiIrCl5
1.0
4.5076 -5.0267 0.0000
4.5076 5.0267 0.0000
-4.2008 0.0000 7.8745
Li Ir Cl
2 2 10
Direct
0.1361 0.8639 0.7500 Li
0.8639 0.1361 0.2500 Li
0.5000 0.5000 0.0000 Ir
0.5000 0.5000 0.5000 Ir
0.1700 0.2535 0.8497 Cl
0.2200 0.6700 0.5179 Cl
0.2535 0.1700 0.3497 Cl
0.3300 0.7800 0.9821 Cl
0.4184 0.5816 0.2500 Cl
0.5816 0.4184 0.7500 Cl
0.6700 0.2200 0.0179 Cl
0.7465 0.8300 0.6503 Cl
0.7800 0.3300 0.4821 Cl
0.8300 0.7465 0.1503 Cl
```

Most intense lines, 2θ from 15° to 90°, sorted by position:
2θ 17.64, I 56; 2θ 21.80, I 100; 2θ 22.35, I 40; 2θ 22.58, I 30; 2θ 35.00, I 37; 2θ 42.71, I 31

---

Entry 12:
The following is a theoretical X-ray powder pattern of Sc2Mn12GaGe11. It was derived from the GGA-PBE geometry in Alexandria, using Cu Ka.
No peak broadening, texture or thermal motion is included.

Atomic structure:
```
Sc2Mn12GaGe11
1.0
5.1145 0.0000 0.0000
-2.5573 4.4293 0.0000
0.0000 0.0000 16.2043
Sc Mn Ga Ge
2 12 1 11
Direct
0.0000 0.0000 0.2502 Sc
0.0000 0.0000 0.7498 Sc
0.0002 0.5001 0.1250 Mn
0.0002 0.5001 0.8750 Mn
0.4999 0.9998 0.1250 Mn
0.4999 0.9998 0.8750 Mn
0.5004 0.0008 0.3729 Mn
0.5004 0.0008 0.6271 Mn
0.4999 0.5001 0.1250 Mn
0.5004 0.4996 0.3729 Mn
0.5004 0.4996 0.6271 Mn
0.4999 0.5001 0.8750 Mn
0.9992 0.4996 0.3729 Mn
0.9992 0.4996 0.6271 Mn
0.3333 0.6667 0.5000 Ga
0.0000 0.0000 0.0805 Ge
0.0000 0.0000 0.4195 Ge
0.0000 0.0000 0.5805 Ge
0.0000 0.0000 0.9195 Ge
0.3333 0.6667 0.0000 Ge
0.3333 0.6667 0.2495 Ge
0.3333 0.6667 0.7505 Ge
0.6667 0.3333 0.0000 Ge
0.6667 0.3333 0.2493 Ge
0.6667 0.3333 0.5000 Ge
0.6667 0.3333 0.7507 Ge
```

Most intense lines, 2θ from 15° to 90°, sorted by position:
2θ 35.09, I 66; 2θ 40.74, I 42; 2θ 41.77, I 84; 2θ 46.75, I 100; 2θ 49.48, I 32; 2θ 74.16, I 32